[1]
LiNiPO4: computed powder diffraction line list (Cu Ka), based on a structure optimized by DFT (GGA+U).

Peak list (10 most intense, 5° ≤ 2θ ≤ 70°, most intense first)
12.7 deg, I 100, hkl 0 0 2; 27.4 deg, I 50, hkl 1 1 3; 31.3 deg, I 24, hkl 1 2 2; 33.4 deg, I 22, hkl 2 1 0; 34.5 deg, I 16, hkl 1 2 3; 40.3 deg, I 15, hkl 0 2 5; 35.8 deg, I 14, hkl 2 1 2; 59.2 deg, I 13, hkl 2 3 5; 51.9 deg, I 13, hkl 1 4 1; 24.7 deg, I 12, hkl 0 2 1

```
data_LiNiPO4
_chemical_formula_sum 'Li8 Ni8 P8 O32'
_space_group_name_H-M_alt 'P b c a'
_space_group_IT_number 61
_space_group_name_Hall '-P 2ac 2ab'
_cell_length_a 5.753
_cell_length_b 7.467
_cell_length_c 13.956
_cell_angle_alpha 90.00
_cell_angle_beta 90.00
_cell_angle_gamma 90.00
loop_
_atom_site_label
_atom_site_type_symbol
_atom_site_fract_x
_atom_site_fract_y
_atom_site_fract_z
_atom_site_occupancy
Li1 Li 0.153 0.193 0.221 1
Ni1 Ni 0.099 0.679 0.534 1
P1 P 0.099 0.545 0.874 1
O1 O 0.032 0.635 0.133 1
O2 O 0.061 0.191 0.577 1
O3 O 0.156 0.609 0.773 1
O4 O 0.181 0.023 0.939 1
```

=====

[2]
Li3Ni2P3O12: computed powder diffraction line list (Cu Ka), based on a structure optimized by DFT (GGA+U).

Peak list (10 most intense, 5° ≤ 2θ ≤ 70°, most intense first)
16.7 deg, I 100, hkl 2 0 0; 29.4 deg, I 60, hkl 1 1 -2; 33.2 deg, I 60, hkl 2 4 0; 15.9 deg, I 40, hkl 1 1 -1; 14.1 deg, I 38, hkl 0 2 0; 32.5 deg, I 30, hkl 0 4 1; 26.2 deg, I 23, hkl 3 1 0; 25.7 deg, I 20, hkl 1 3 -1; 43.3 deg, I 20, hkl 0 6 0; 48.1 deg, I 20, hkl 5 3 0

```
data_Li3Ni2P3O12
_chemical_formula_sum 'Li12 Ni8 P12 O48'
_space_group_name_H-M_alt 'C 1 2/c 1'
_space_group_IT_number 15
_space_group_name_Hall '-C 2yc'
_cell_length_a 11.573
_cell_length_b 12.523
_cell_length_c 6.317
_cell_angle_alpha 90.00
_cell_angle_beta 113.59
_cell_angle_gamma 90.00
loop_
_atom_site_label
_atom_site_type_symbol
_atom_site_fract_x
_atom_site_fract_y
_atom_site_fract_z
_atom_site_occupancy
Li1 Li 0.000 0.000 0.000 1
Li2 Li 0.000 0.213 0.250 1
Li3 Li 0.000 0.481 0.250 1
Ni1 Ni 0.214 0.339 0.131 1
P1 P 0.000 0.212 0.750 1
P2 P 0.235 0.400 0.635 1
O1 O 0.042 0.281 0.973 1
O2 O 0.100 0.134 0.732 1
O3 O 0.125 0.077 0.302 1
O4 O 0.151 0.499 0.104 1
O5 O 0.172 0.336 0.406 1
O6 O 0.223 0.324 0.823 1
```